1.
Simulated PXRD pattern
Compound: VMo
Radiation: a wavelength of 1.5418 Å
Structure: a cell relaxed with GGA-PBE
Peak positions follow from Bragg's law for the DFT cell and can differ from measured ones.

Crystal structure
```
VMo
1.0
2.699 0.000 0.000
-1.349 2.337 0.000
0.000 0.000 4.800
V Mo
1 1
Direct
0.000 0.000 0.000
0.333 0.667 0.500
```

Principal peaks in the range 2θ = 15–90°, by intensity:
| 2theta | d [Å] | I_rel |
| --- | --- | --- |
| 43.04 | 2.101 | 100 |
| 37.47 | 2.400 | 32 |
| 38.52 | 2.337 | 29 |
| 71.45 | 1.320 | 21 |
| 54.82 | 1.674 | 20 |
| 18.48 | 4.800 | 19 |
| 81.90 | 1.176 | 18 |
| 69.68 | 1.349 | 14 |
| 85.52 | 1.135 | 13 |
| 79.94 | 1.200 | 3 |
| 72.80 | 1.299 | 3 |
| 82.55 | 1.169 | 3 |

2.
Simulated PXRD pattern
Compound: VMo
Radiation: a wavelength of 1.5418 Å
Structure: a cell relaxed with GGA-PBE
Peak positions follow from Bragg's law for the DFT cell and can differ from measured ones.

Crystal structure
```
VMo
1.0
1.551 -2.231 0.000
1.551 2.231 0.000
0.000 0.000 4.246
V Mo
1 1
Direct
0.000 0.000 0.000
0.500 0.500 0.500
```

Principal peaks in the range 2θ = 15–90°, by intensity:
| 2theta | d [Å] | I_rel |
| --- | --- | --- |
| 41.34 | 2.184 | 100 |
| 40.43 | 2.231 | 27 |
| 42.58 | 2.123 | 23 |
| 74.15 | 1.279 | 16 |
| 60.16 | 1.538 | 15 |
| 20.92 | 4.246 | 15 |
| 77.09 | 1.237 | 15 |
| 89.82 | 1.092 | 10 |
| 35.24 | 2.547 | 8 |
| 74.52 | 1.273 | 8 |
| 59.63 | 1.551 | 8 |
| 76.00 | 1.252 | 8 |

3.
Simulated PXRD pattern
Compound: V2MoW
Radiation: a wavelength of 1.5418 Å
Structure: a cell relaxed with GGA-PBE
Peak positions follow from Bragg's law for the DFT cell and can differ from measured ones.

Crystal structure
```
V2MoW
1.0
0.000 3.080 3.080
3.080 0.000 3.080
3.080 3.080 0.000
V Mo W
2 1 1
Direct
0.250 0.250 0.250
0.750 0.750 0.750
0.000 0.000 0.000
0.500 0.500 0.500
```

Principal peaks in the range 2θ = 15–90°, by intensity:
| 2theta | d [Å] | I_rel |
| --- | --- | --- |
| 41.47 | 2.178 | 100 |
| 75.64 | 1.257 | 33 |
| 29.00 | 3.080 | 29 |
| 60.09 | 1.540 | 16 |
| 25.04 | 3.556 | 12 |
| 68.08 | 1.377 | 11 |
| 51.39 | 1.778 | 8 |
| 49.06 | 1.857 | 6 |
| 66.13 | 1.413 | 3 |
| 81.14 | 1.185 | 2 |

4.
Simulated PXRD pattern
Compound: ZrVMo
Radiation: a wavelength of 1.5418 Å
Structure: a cell relaxed with GGA-PBE
Peak positions follow from Bragg's law for the DFT cell and can differ from measured ones.

Crystal structure
```
ZrVMo
1.0
-2.635 2.680 3.731
2.635 -2.680 3.731
2.635 2.680 -3.731
Zr V Mo
2 2 2
Direct
0.375 0.125 0.250
0.625 0.875 0.750
0.000 0.500 0.500
0.500 0.500 0.000
0.000 0.000 0.500
0.000 0.500 0.000
```

Principal peaks in the range 2θ = 15–90°, by intensity:
| 2theta | d [Å] | I_rel |
| --- | --- | --- |
| 39.98 | 2.255 | 100 |
| 33.85 | 2.648 | 35 |
| 39.61 | 2.275 | 34 |
| 41.48 | 2.177 | 24 |
| 71.23 | 1.324 | 24 |
| 64.20 | 1.451 | 24 |
| 41.97 | 2.152 | 23 |
| 33.43 | 2.680 | 20 |
| 40.08 | 2.250 | 17 |
| 85.32 | 1.138 | 14 |
| 60.81 | 1.523 | 13 |
| 64.87 | 1.437 | 11 |

5.
Simulated PXRD pattern
Compound: MoW
Radiation: a wavelength of 1.5418 Å
Structure: a cell relaxed with GGA-PBE
Peak positions follow from Bragg's law for the DFT cell and can differ from measured ones.

Crystal structure
```
MoW
1.0
1.588 -2.253 0.000
1.588 2.253 0.000
0.000 0.000 4.500
Mo W
1 1
Direct
0.000 0.000 0.000
0.500 0.500 0.500
```

Principal peaks in the range 2θ = 15–90°, by intensity:
| 2theta | d [Å] | I_rel |
| --- | --- | --- |
| 40.08 | 2.250 | 100 |
| 72.78 | 1.299 | 23 |
| 72.88 | 1.298 | 11 |
| 57.92 | 1.592 | 11 |
| 86.55 | 1.125 | 9 |
| 19.73 | 4.500 | 8 |
| 58.08 | 1.588 | 6 |
| 34.55 | 2.596 | 4 |
| 53.92 | 1.700 | 3 |
| 44.99 | 2.015 | 2 |
| 86.36 | 1.127 | 2 |
| 76.35 | 1.247 | 1 |

6.
Simulated PXRD pattern
Compound: Zn6Mo
Radiation: a wavelength of 1.5418 Å
Structure: a cell relaxed with GGA-PBE
Peak positions follow from Bragg's law for the DFT cell and can differ from measured ones.

Crystal structure
```
Zn6Mo
1.0
0.000 3.873 3.873
3.873 0.000 3.873
3.873 3.873 0.000
Zn Mo
6 1
Direct
0.000 0.000 0.500
0.000 0.500 0.000
0.000 0.500 0.500
0.500 0.000 0.000
0.500 0.000 0.500
0.500 0.500 0.000
0.000 0.000 0.000
```

Principal peaks in the range 2θ = 15–90°, by intensity:
| 2theta | d [Å] | I_rel |
| --- | --- | --- |
| 40.33 | 2.236 | 100 |
| 46.91 | 1.937 | 48 |
| 82.62 | 1.168 | 34 |
| 68.52 | 1.369 | 29 |
| 19.85 | 4.473 | 22 |
| 38.54 | 2.336 | 12 |
| 87.18 | 1.118 | 10 |
| 51.42 | 1.777 | 5 |
| 62.28 | 1.491 | 4 |
| 72.14 | 1.309 | 4 |
| 22.96 | 3.873 | 2 |
| 32.70 | 2.739 | 2 |

7.
Simulated PXRD pattern
Compound: ZnMo3
Radiation: a wavelength of 1.5418 Å
Structure: a cell relaxed with GGA-PBE
Peak positions follow from Bragg's law for the DFT cell and can differ from measured ones.

Crystal structure
```
ZnMo3
1.0
3.943 0.000 0.000
0.000 3.943 0.000
0.000 0.000 3.943
Zn Mo
1 3
Direct
0.000 0.000 0.000
0.000 0.500 0.500
0.500 0.000 0.500
0.500 0.500 0.000
```

Principal peaks in the range 2θ = 15–90°, by intensity:
| 2theta | d [Å] | I_rel |
| --- | --- | --- |
| 39.59 | 2.277 | 100 |
| 46.04 | 1.972 | 48 |
| 80.85 | 1.189 | 36 |
| 67.14 | 1.394 | 30 |
| 85.26 | 1.138 | 11 |
| 22.55 | 3.943 | 2 |
| 32.10 | 2.788 | 1 |
| 51.85 | 1.763 | 1 |
| 57.23 | 1.610 | 1 |

8.
Simulated PXRD pattern
Compound: Zn7Mo
Radiation: a wavelength of 1.5418 Å
Structure: a cell relaxed with GGA-PBE
Peak positions follow from Bragg's law for the DFT cell and can differ from measured ones.

Crystal structure
```
Zn7Mo
1.0
0.000 3.910 3.910
3.910 0.000 3.910
3.910 3.910 0.000
Zn Mo
7 1
Direct
0.000 0.000 0.000
0.000 0.000 0.500
0.000 0.500 0.000
0.000 0.500 0.500
0.500 0.000 0.000
0.500 0.000 0.500
0.500 0.500 0.000
0.500 0.500 0.500
```

Principal peaks in the range 2θ = 15–90°, by intensity:
| 2theta | d [Å] | I_rel |
| --- | --- | --- |
| 39.94 | 2.257 | 100 |
| 46.45 | 1.955 | 48 |
| 81.69 | 1.179 | 34 |
| 67.80 | 1.382 | 29 |
| 86.17 | 1.129 | 10 |
| 19.67 | 4.514 | 1 |
| 22.75 | 3.910 | 1 |
| 38.17 | 2.358 | 1 |
| 32.38 | 2.764 | 1 |

9.
Simulated PXRD pattern
Compound: ZrMo3
Radiation: a wavelength of 1.5418 Å
Structure: a cell relaxed with GGA-PBE
Peak positions follow from Bragg's law for the DFT cell and can differ from measured ones.

Crystal structure
```
ZrMo3
1.0
5.206 0.000 0.000
0.000 5.206 0.000
0.000 0.000 5.206
Zr Mo
2 6
Direct
0.000 0.000 0.000
0.500 0.500 0.500
0.000 0.250 0.500
0.000 0.750 0.500
0.250 0.500 0.000
0.500 0.000 0.250
0.500 0.000 0.750
0.750 0.500 0.000
```

Principal peaks in the range 2θ = 15–90°, by intensity:
| 2theta | d [Å] | I_rel |
| --- | --- | --- |
| 38.67 | 2.328 | 100 |
| 42.54 | 2.125 | 72 |
| 67.29 | 1.391 | 35 |
| 34.45 | 2.603 | 33 |
| 64.54 | 1.444 | 21 |
| 85.47 | 1.136 | 20 |
| 72.64 | 1.302 | 15 |
| 82.94 | 1.164 | 10 |
| 87.98 | 1.110 | 9 |
| 61.72 | 1.503 | 8 |

10.
Simulated PXRD pattern
Compound: Na3NbN2
Radiation: a wavelength of 1.5418 Å
Structure: a cell relaxed with GGA-PBE
Peak positions follow from Bragg's law for the DFT cell and can differ from measured ones.

Crystal structure
```
Na3NbN2
1.0
6.216 0.000 0.000
0.000 10.459 0.000
-1.548 0.000 6.733
Na Nb N
12 4 8
Direct
0.053 0.247 0.383
0.053 0.253 0.883
0.210 0.023 0.173
0.210 0.477 0.673
0.290 0.013 0.693
0.290 0.487 0.193
0.710 0.513 0.807
0.710 0.987 0.307
0.790 0.523 0.327
0.790 0.977 0.827
0.947 0.747 0.117
0.947 0.753 0.617
0.412 0.741 0.470
0.412 0.759 0.970
0.588 0.241 0.030
0.588 0.259 0.530
0.159 0.638 0.412
0.159 0.862 0.912
0.417 0.247 0.744
0.417 0.253 0.244
0.583 0.747 0.756
0.583 0.753 0.256
0.841 0.138 0.088
0.841 0.362 0.588
```

Principal peaks in the range 2θ = 15–90°, by intensity:
| 2theta | d [Å] | I_rel |
| --- | --- | --- |
| 16.94 | 5.233 | 100 |
| 34.25 | 2.618 | 76 |
| 32.29 | 2.773 | 54 |
| 31.61 | 2.831 | 45 |
| 22.46 | 3.959 | 44 |
| 34.34 | 2.612 | 36 |
| 30.73 | 2.910 | 27 |
| 36.20 | 2.482 | 27 |
| 39.41 | 2.287 | 18 |
| 64.73 | 1.440 | 17 |
| 42.37 | 2.133 | 16 |
| 53.11 | 1.725 | 15 |

11.
Simulated PXRD pattern
Compound: Na3NiN2
Radiation: a wavelength of 1.5418 Å
Structure: a cell relaxed with GGA-PBE
Peak positions follow from Bragg's law for the DFT cell and can differ from measured ones.

Crystal structure
```
Na3NiN2
1.0
-3.997 3.997 6.272
3.997 -3.997 6.272
3.997 3.997 -6.272
Na Ni N
12 4 8
Direct
0.084 0.334 0.168
0.084 0.916 0.750
0.259 0.509 0.750
0.334 0.084 0.668
0.334 0.666 0.250
0.491 0.741 0.750
0.509 0.259 0.250
0.666 0.334 0.750
0.666 0.916 0.332
0.741 0.491 0.250
0.916 0.084 0.250
0.916 0.666 0.832
0.034 0.284 0.750
0.284 0.034 0.250
0.716 0.966 0.750
0.966 0.716 0.250
0.172 0.711 0.461
0.251 0.289 0.961
0.289 0.251 0.461
0.289 0.828 0.039
0.711 0.172 0.961
0.711 0.749 0.539
0.749 0.711 0.039
0.828 0.289 0.539
```

Principal peaks in the range 2θ = 15–90°, by intensity:
| 2theta | d [Å] | I_rel |
| --- | --- | --- |
| 36.42 | 2.467 | 100 |
| 31.66 | 2.826 | 64 |
| 24.02 | 3.705 | 39 |
| 45.38 | 1.998 | 39 |
| 22.24 | 3.997 | 36 |
| 32.97 | 2.717 | 31 |
| 59.53 | 1.553 | 26 |
| 40.13 | 2.247 | 24 |
| 21.16 | 4.199 | 21 |
| 37.58 | 2.394 | 18 |
| 46.30 | 1.961 | 17 |
| 66.88 | 1.399 | 16 |

12.
Simulated PXRD pattern
Compound: Na3NiN2
Radiation: a wavelength of 1.5418 Å
Structure: a cell relaxed with GGA-PBE
Peak positions follow from Bragg's law for the DFT cell and can differ from measured ones.

Crystal structure
```
Na3NiN2
1.0
-5.380 5.380 5.380
5.380 -5.380 5.380
5.380 5.380 -5.380
Na Ni N
24 8 16
Direct
0.016 0.753 0.953
0.047 0.984 0.247
0.062 0.547 0.300
0.200 0.747 0.762
0.238 0.800 0.253
0.247 0.047 0.984
0.253 0.238 0.800
0.262 0.516 0.562
0.300 0.062 0.547
0.438 0.738 0.484
0.453 0.700 0.938
0.484 0.438 0.738
0.516 0.562 0.262
0.547 0.300 0.062
0.562 0.262 0.516
0.700 0.938 0.453
0.738 0.484 0.438
0.747 0.762 0.200
0.753 0.953 0.016
0.762 0.200 0.747
0.800 0.253 0.238
0.938 0.453 0.700
0.953 0.016 0.753
0.984 0.247 0.047
0.000 0.203 0.500
0.000 0.797 0.500
0.203 0.500 0.000
0.297 0.297 0.297
0.500 0.000 0.203
0.500 0.000 0.797
0.703 0.703 0.703
0.797 0.500 0.000
0.000 0.000 0.500
0.000 0.500 0.000
0.067 0.250 0.317
0.183 0.433 0.750
0.250 0.317 0.067
0.250 0.817 0.567
0.317 0.067 0.250
0.433 0.750 0.183
0.500 0.000 0.000
0.500 0.500 0.500
0.567 0.250 0.817
0.683 0.933 0.750
0.750 0.183 0.433
0.750 0.683 0.933
0.817 0.567 0.250
0.933 0.750 0.683
```

Principal peaks in the range 2θ = 15–90°, by intensity:
| 2theta | d [Å] | I_rel |
| --- | --- | --- |
| 33.31 | 2.690 | 100 |
| 42.86 | 2.110 | 90 |
| 47.82 | 1.902 | 81 |
| 20.22 | 4.392 | 74 |
| 31.10 | 2.876 | 59 |
| 52.42 | 1.745 | 40 |
| 35.39 | 2.536 | 39 |
| 76.10 | 1.251 | 30 |
| 63.54 | 1.464 | 22 |
| 71.20 | 1.324 | 19 |
| 55.34 | 1.660 | 18 |
| 78.52 | 1.218 | 17 |